(1)
Structure and computed X-ray powder pattern of Pm2Sm8Y (the PBE geometry in Alexandria; CuKα).
Peak positions follow from Bragg's law for the DFT cell and can differ from measured ones.

Structural model:
a = 9.590 Å, b = 9.590 Å, c = 8.120 Å
α = 104.75°, β = 104.75°, γ = 31.03°
Sites, in units of the cell vectors:
Pm (0.227, 0.227, 0.137)
Pm (0.773, 0.773, 0.863)
Sm (0.045, 0.045, 0.228)
Sm (0.136, 0.136, 0.681)
Sm (0.318, 0.318, 0.591)
Sm (0.409, 0.409, 0.046)
Sm (0.591, 0.591, 0.954)
Sm (0.682, 0.682, 0.409)
Sm (0.864, 0.864, 0.319)
Sm (0.955, 0.955, 0.772)
Y (0.500, 0.500, 0.500)

The 6 most intense peaks (5 to 70 degrees two-theta), low angle first:
d/Å, 2theta, intensity
2.962, 30.2, 100
2.565, 35.0, 51
1.814, 50.3, 36
1.548, 59.8, 29
1.546, 59.8, 14
1.481, 62.7, 12

=====

(2)
Structure and computed X-ray powder pattern of Pm3SmY4 (the PBE geometry in Alexandria; CuKα).
Peak positions follow from Bragg's law for the DFT cell and can differ from measured ones.

Structural model:
a = 6.255 Å, b = 3.616 Å, c = 11.901 Å
α = 90.00°, β = 100.18°, γ = 90.00°
Sites, in units of the cell vectors:
Pm (0.000, 0.000, 0.000)
Pm (0.000, 0.500, 0.500)
Pm (0.500, 0.000, 0.500)
Sm (0.500, 0.500, 0.000)
Y (0.250, 0.000, 0.750)
Y (0.250, 0.500, 0.250)
Y (0.750, 0.000, 0.250)
Y (0.750, 0.500, 0.750)

The 6 most intense peaks (5 to 70 degrees two-theta), low angle first:
d/Å, 2theta, intensity
2.948, 30.3, 100
2.929, 30.5, 33
2.549, 35.2, 67
1.807, 50.5, 24
1.798, 50.8, 23
1.538, 60.2, 28

=====

(3)
Structure and computed X-ray powder pattern of Pm8Sm4Y (the PBE geometry in Alexandria; CuKα).
Peak positions follow from Bragg's law for the DFT cell and can differ from measured ones.

Structural model:
a = 7.904 Å, b = 7.904 Å, c = 7.904 Å
α = 90.68°, β = 90.68°, γ = 90.68°
Sites, in units of the cell vectors:
Pm (0.237, 0.237, 0.755)
Pm (0.237, 0.755, 0.237)
Pm (0.238, 0.238, 0.238)
Pm (0.245, 0.763, 0.763)
Pm (0.755, 0.237, 0.237)
Pm (0.762, 0.762, 0.762)
Pm (0.763, 0.245, 0.763)
Pm (0.763, 0.763, 0.245)
Sm (0.000, 0.000, 0.000)
Sm (0.000, 0.500, 0.500)
Sm (0.500, 0.000, 0.500)
Sm (0.500, 0.500, 0.000)
Y (0.500, 0.500, 0.500)

The 6 most intense peaks (5 to 70 degrees two-theta), low angle first:
d/Å, 2theta, intensity
4.581, 19.4, 24
2.811, 31.8, 100
2.777, 32.2, 95
1.976, 45.9, 35
1.623, 56.7, 19
1.616, 57.0, 36

=====

(4)
Structure and computed X-ray powder pattern of Pm3Sm3Y5 (the PBE geometry in Alexandria; CuKα).
Peak positions follow from Bragg's law for the DFT cell and can differ from measured ones.

Structural model:
a = 9.773 Å, b = 9.773 Å, c = 5.433 Å
α = 90.00°, β = 90.00°, γ = 120.00°
Sites, in units of the cell vectors:
Pm (0.000, 0.578, 0.000)
Pm (0.422, 0.422, 0.000)
Pm (0.578, 0.000, 0.000)
Sm (0.000, 0.733, 0.500)
Sm (0.267, 0.267, 0.500)
Sm (0.733, 0.000, 0.500)
Y (0.000, 0.365, 0.500)
Y (0.333, 0.667, 0.500)
Y (0.365, 0.000, 0.500)
Y (0.635, 0.635, 0.500)
Y (0.667, 0.333, 0.500)

The 6 most intense peaks (5 to 70 degrees two-theta), low angle first:
d/Å, 2theta, intensity
4.887, 18.2, 77
3.339, 26.7, 62
2.821, 31.7, 54
2.757, 32.5, 100
2.716, 33.0, 48
2.155, 41.9, 48

=====

(5)
Structure and computed X-ray powder pattern of PmSm6Y (the PBE geometry in Alexandria; CuKα).
Peak positions follow from Bragg's law for the DFT cell and can differ from measured ones.

Structural model:
a = 5.126 Å, b = 5.126 Å, c = 10.242 Å
α = 90.00°, β = 90.00°, γ = 90.00°
Sites, in units of the cell vectors:
Pm (0.000, 0.000, 0.000)
Sm (0.000, 0.500, 0.251)
Sm (0.000, 0.500, 0.749)
Sm (0.500, 0.000, 0.251)
Sm (0.500, 0.000, 0.749)
Sm (0.500, 0.500, 0.000)
Sm (0.500, 0.500, 0.500)
Y (0.000, 0.000, 0.500)

The 6 most intense peaks (5 to 70 degrees two-theta), low angle first:
d/Å, 2theta, intensity
10.242, 8.6, 1
2.959, 30.2, 100
2.562, 35.0, 51
1.812, 50.4, 36
1.545, 59.9, 43
1.479, 62.8, 12

=====

(6)
Structure and computed X-ray powder pattern of Pm5Sm4Y4 (the PBE geometry in Alexandria; CuKα).
Peak positions follow from Bragg's law for the DFT cell and can differ from measured ones.

Structural model:
a = 9.588 Å, b = 9.588 Å, c = 9.588 Å
α = 94.06°, β = 94.06°, γ = 149.12°
Sites, in units of the cell vectors:
Pm (0.000, 0.000, 0.000)
Pm (0.307, 0.461, 0.768)
Pm (0.461, 0.693, 0.155)
Pm (0.539, 0.307, 0.845)
Pm (0.693, 0.539, 0.232)
Sm (0.154, 0.231, 0.385)
Sm (0.231, 0.846, 0.077)
Sm (0.769, 0.154, 0.923)
Sm (0.846, 0.769, 0.615)
Y (0.077, 0.614, 0.691)
Y (0.386, 0.077, 0.462)
Y (0.614, 0.923, 0.538)
Y (0.923, 0.386, 0.309)

The 6 most intense peaks (5 to 70 degrees two-theta), low angle first:
d/Å, 2theta, intensity
2.956, 30.2, 100
2.563, 35.0, 34
2.552, 35.2, 17
1.809, 50.5, 24
1.545, 59.9, 28
1.540, 60.1, 14